This entry pairs a crystal structure of Tb5Dy2Pu with its simulated powder diffraction line list. Radiation: Cu Kα. Structure: a DFT-relaxed cell (GGA-PBE, Alexandria).

The 8 most intense peaks (5 to 70 degrees two-theta), by angle:
d = 3.107 Å, I 56, (2 2 -2); d = 2.965 Å, I 57, (2 2 1); d = 2.904 Å, I 68, (3 1 0); d = 2.882 Å, I 100, (0 0 4); d = 2.865 Å, I 52, (1 3 -1); d = 2.770 Å, I 39, (2 2 -3); d = 2.683 Å, I 48, (1 3 -2); d = 2.606 Å, I 42, (2 2 2)

Crystal structure
a = 9.600 Å, b = 9.132 Å, c = 12.042 Å
α = 90.00°, β = 106.81°, γ = 90.00°
Space group C2/c (No. 15)
Asymmetric unit:
Tb 0.000 0.228 0.250 x4
Tb 0.125 0.363 0.018 x8
Tb 0.187 0.436 0.761 x8
Dy 0.000 0.000 0.000 x4
Dy 0.250 0.250 0.500 x4
Pu 0.000 0.135 0.750 x4

---

This entry pairs a crystal structure of RbMgIn6 with its simulated powder diffraction line list. Radiation: Cu Kα. Structure: a DFT-relaxed cell (GGA-PBE, Alexandria).

The 8 most intense peaks (5 to 70 degrees two-theta), by angle:
d = 3.419 Å, I 100, (1 1 1); d = 2.860 Å, I 19, (1 1 2); d = 2.611 Å, I 94, (2 0 0); d = 2.335 Å, I 69, (1 1 3); d = 2.075 Å, I 18, (1 0 4); d = 1.846 Å, I 40, (2 2 0); d = 1.624 Å, I 35, (1 1 5); d = 1.448 Å, I 29, (3 1 3)

Crystal structure
a = 5.223 Å, b = 5.223 Å, c = 9.041 Å
α = 90.00°, β = 90.00°, γ = 90.00°
Space group P4/mmm (No. 123)
Asymmetric unit:
Rb 0.000 0.000 0.000 x1
Mg 0.000 0.000 0.500 x1
In 0.000 0.500 0.330 x4
In 0.500 0.500 0.162 x2

---

This entry pairs a crystal structure of Np2RhO11 with its simulated powder diffraction line list. Radiation: Cu Kα. Structure: a DFT-relaxed cell (GGA-PBE, Alexandria).

The 8 most intense peaks (5 to 70 degrees two-theta), by angle:
d = 4.989 Å, I 44, (1 -1 1); d = 4.844 Å, I 39, (-1 1 1); d = 3.910 Å, I 73, (0 0 2); d = 3.860 Å, I 31, (1 1 0); d = 3.632 Å, I 100, (0 2 -1); d = 3.159 Å, I 34, (2 -2 0); d = 2.684 Å, I 28, (2 0 1); d = 2.638 Å, I 29, (0 2 1)

Crystal structure
a = 7.723 Å, b = 7.726 Å, c = 8.991 Å
α = 107.75°, β = 105.16°, γ = 109.85°
Space group P1 (No. 1)
Asymmetric unit:
Np 0.000 0.000 0.000 x1
Np 0.146 0.647 0.500 x1
Np 0.445 0.472 0.015 x1
Np 0.688 0.216 0.514 x1
Rh 0.676 0.706 0.511 x1
Rh 0.952 0.481 0.011 x1
O 0.006 0.760 0.039 x1
O 0.089 0.568 0.261 x1
O 0.127 0.158 0.229 x1
O 0.198 0.070 0.494 x1
O 0.208 0.525 0.989 x1
O 0.216 0.749 0.730 x1
O 0.257 0.174 0.977 x1
O 0.334 0.016 0.527 x1
O 0.388 0.394 0.788 x1
O 0.425 0.681 0.540 x1
O 0.525 0.592 0.258 x1
O 0.541 0.048 0.288 x1
O 0.570 0.942 0.994 x1
O 0.611 0.429 0.490 x1
O 0.657 0.839 0.027 x1
O 0.701 0.454 0.045 x1
O 0.736 0.990 0.544 x1
O 0.813 0.379 0.758 x1
O 0.839 0.819 0.761 x1
O 0.898 0.202 0.970 x1
O 0.914 0.718 0.469 x1
O 0.950 0.366 0.477 x1

---

This entry pairs a crystal structure of HoNpSe3 with its simulated powder diffraction line list. Radiation: Cu Kα. Structure: a DFT-relaxed cell (GGA-PBE, Alexandria).

The 8 most intense peaks (5 to 70 degrees two-theta), by angle:
d = 10.139 Å, I 69, (0 0 2); d = 5.069 Å, I 34, (0 0 4); d = 3.374 Å, I 33, (1 0 2); d = 3.162 Å, I 36, (1 0 3); d = 2.923 Å, I 94, (1 0 4); d = 2.683 Å, I 24, (1 0 5); d = 2.067 Å, I 100, (1 1 0); d = 1.687 Å, I 19, (2 0 4)

Crystal structure
a = 4.1310 Å, b = 4.1310 Å, c = 20.2770 Å
α = 90.00°, β = 90.00°, γ = 120.00°
Space group P6_3mc (No. 186)
Asymmetric unit:
Ho 0.3333 0.6667 0.0000 x2
Np 0.0000 0.0000 0.1802 x2
Se 0.0000 0.0000 0.4321 x2
Se 0.3333 0.6667 0.2525 x2
Se 0.3333 0.6667 0.5913 x2

---

This entry pairs a crystal structure of Nd5PuSb6 with its simulated powder diffraction line list. Radiation: Cu Kα. Structure: a DFT-relaxed cell (GGA-PBE, Alexandria).

The 8 most intense peaks (5 to 70 degrees two-theta), by angle:
d = 6.469 Å, I 1, (1 1 0); d = 3.683 Å, I 3, (2 0 0); d = 3.189 Å, I 100, (1 3 1); d = 2.255 Å, I 77, (2 0 2); d = 1.923 Å, I 2, (3 3 1); d = 1.841 Å, I 28, (4 0 0); d = 1.595 Å, I 13, (2 6 2); d = 1.426 Å, I 36, (3 3 3)

Crystal structure
a = 7.813 Å, b = 13.529 Å, c = 7.812 Å
α = 90.00°, β = 109.48°, γ = 90.00°
Space group C2/m (No. 12)
Asymmetric unit:
Nd 0.000 0.000 0.000 x2
Nd 0.000 0.166 0.500 x4
Nd 0.000 0.332 0.000 x4
Pu 0.000 0.500 0.500 x2
Sb 0.246 0.500 0.252 x4
Sb 0.247 0.336 0.747 x8

---

This entry pairs a crystal structure of RbMnPb2 with its simulated powder diffraction line list. Radiation: Cu Kα. Structure: a DFT-relaxed cell (GGA-PBE, Alexandria).

The 8 most intense peaks (5 to 70 degrees two-theta), by angle:
d = 5.970 Å, I 100, (1 0 1); d = 4.265 Å, I 71, (1 0 3); d = 3.989 Å, I 26, (1 1 2); d = 3.032 Å, I 31, (1 0 5); d = 2.985 Å, I 97, (2 0 2); d = 2.808 Å, I 50, (2 1 1); d = 2.133 Å, I 39, (2 0 6); d = 1.995 Å, I 57, (2 2 4)

Crystal structure
a = 6.364 Å, b = 6.364 Å, c = 17.242 Å
α = 90.00°, β = 90.00°, γ = 90.00°
Space group I4_1/amd (No. 141, origin choice 2)
Asymmetric unit:
Rb 0.000 0.250 0.375 x4
Mn 0.000 0.250 0.875 x4
Pb 0.000 0.000 0.000 x8